For BaTbEuSnO6, a crystal structure in Alexandria, relaxed with PBE gives the simulated XRD peak list in this record (Cu Kα (λ = 1.5418 Å)).
Peak positions follow from Bragg's law for the DFT cell and can differ from measured ones.

Peak list (6 most intense, 2θ from 15° to 90°, in order of falling intensity)
| two_theta | Rel. int. |
| --- | --- |
| 29.5 | 100.0 |
| 52.4 | 41.5 |
| 42.3 | 29.2 |
| 84.8 | 22.3 |
| 61.3 | 18.6 |
| 69.5 | 18.4 |

```
BaTbEuSnO6
1.0
0.0000 4.2777 4.2777
4.2777 0.0000 4.2777
4.2777 4.2777 0.0000
Ba Tb Eu Sn O
1 1 1 1 6
Direct
0.0000 0.0000 0.0000
0.2500 0.2500 0.2500
0.5000 0.5000 0.5000
0.7500 0.7500 0.7500
0.5091 0.5091 0.9909
0.5091 0.9909 0.5091
0.5091 0.9909 0.9909
0.9909 0.5091 0.5091
0.9909 0.5091 0.9909
0.9909 0.9909 0.5091
```